[1]
Computed X-ray diffraction stick pattern
Compound: RbLiPr2Se4
Radiation: CuKα
Structure: a GGA-PBE-relaxed structure
Lines closer than 0.1° are merged.

The 12 most intense peaks (2θ from 10° to 90°), most intense first:
hkl	2θ (°)	d_spacing	intensity
1 3 1	28.0	3.182	1000
1 3 2	29.9	2.988	790
0 2 3	21.5	4.138	596
1 5 3	41.2	2.189	548
1 1 5	36.8	2.443	546
0 2 4	26.6	3.346	471
1 3 0	27.4	3.256	451
2 0 0	41.3	2.184	414
0 0 2	11.8	7.522	374
0 8 0	49.8	1.830	329
0 6 3	41.1	2.196	269
1 3 5	40.8	2.210	250

Atomic structure:
```
data_RbLiPr2Se4
_chemical_formula_sum 'Rb4 Li4 Pr8 Se16'
_cell_length_a 4.367
_cell_length_b 14.652
_cell_length_c 15.044
_cell_angle_alpha 90.00
_cell_angle_beta 90.00
_cell_angle_gamma 90.00
_space_group_name_H-M_alt 'C m c m'
_space_group_IT_number 63
_space_group_name_Hall '-C 2c 2'
loop_
_atom_site_label
_atom_site_fract_x
_atom_site_fract_y
_atom_site_fract_z
_atom_site_occupancy
Rb1 0.000 0.107 0.250 1
Li1 0.000 0.165 0.750 1
Pr1 0.000 0.366 0.061 1
Se1 0.000 0.000 0.000 1
Se2 0.000 0.262 0.610 1
Se3 0.000 0.424 0.250 1
```

[2]
Computed X-ray diffraction stick pattern
Compound: Li2Pr3Rh7
Radiation: CuKα
Structure: a GGA-PBE-relaxed structure
Lines closer than 0.1° are merged.

The 12 most intense peaks (2θ from 10° to 90°), most intense first:
hkl	2θ (°)	d_spacing	intensity
1 1 6	39.5	2.281	1000
0 2 1	38.6	2.332	800
0 1 8	34.0	2.633	641
1 0 7	31.1	2.874	609
2 0 5	42.5	2.128	359
0 0 3	10.4	8.490	357
2 0 2	39.1	2.304	352
2 2 0	69.5	1.352	327
2 0 14	64.9	1.437	276
3 0 6	63.5	1.466	244
1 2 8	59.8	1.547	229
1 1 0	33.1	2.705	227

Atomic structure:
```
data_Li2Pr3Rh7
_chemical_formula_sum 'Li6 Pr9 Rh21'
_cell_length_a 5.4092
_cell_length_b 5.4092
_cell_length_c 25.4710
_cell_angle_alpha 90.00
_cell_angle_beta 90.00
_cell_angle_gamma 120.00
_space_group_name_H-M_alt 'R -3 m'
_space_group_IT_number 166
_space_group_name_Hall '-R 3 2"'
loop_
_atom_site_label
_atom_site_fract_x
_atom_site_fract_y
_atom_site_fract_z
_atom_site_occupancy
Li1 0.0000 0.0000 0.1643 1
Pr1 0.0000 0.0000 0.3597 1
Pr2 0.0000 0.0000 0.5000 1
Rh1 0.0000 0.0000 0.0000 1
Rh2 0.0037 0.5019 0.4181 1
```